Structure and simulated powder XRD pattern of Li4Co2C4SO16 (the PBE+U geometry in Alexandria; Cu Kα (weighted mean of Kα1 and Kα2)).

Principal peaks in the range 2θ = 5–70°, low angle first:
2theta	I (rel.)
11.46	88.5
18.42	41.9
20.81	50.3
22.65	100.0
32.41	33.6
37.35	24.8

Structure:
Cell lengths 9.7097, 9.6914, 9.1194 Å; angles 62.06, 61.86, 56.07 degrees
Atoms (fractional coordinates):
Li 0.0795 0.6705 0.6705
Li 0.0807 0.6693 0.0807
Li 0.3295 0.9205 0.9205
Li 0.3307 0.9193 0.3307
Li 0.6693 0.0807 0.6693
Li 0.6705 0.0795 0.0795
Li 0.9193 0.3307 0.9193
Li 0.9205 0.3295 0.3295
Co 0.0000 0.5000 0.5000
Co 0.5000 0.0000 0.5000
Co 0.5000 0.5000 0.0000
Co 0.5000 0.5000 0.5000
C 0.2567 0.6527 0.2991
C 0.2916 0.2991 0.6527
C 0.2991 0.2916 0.2567
C 0.3473 0.7433 0.7084
C 0.6527 0.2567 0.2916
C 0.7009 0.7084 0.7433
C 0.7084 0.7009 0.3473
C 0.7433 0.3473 0.7009
S 0.1250 0.1250 0.1250
S 0.8750 0.8750 0.8750
O 0.0428 0.3190 0.0690
O 0.0690 0.0692 0.0428
O 0.0692 0.0690 0.3190
O 0.1190 0.6531 0.4248
O 0.1472 0.3214 0.6494
O 0.1469 0.4196 0.2748
O 0.2748 0.6587 0.1469
O 0.3031 0.4248 0.6531
O 0.3190 0.0428 0.0692
O 0.3214 0.1472 0.3820
O 0.3413 0.7252 0.5804
O 0.3469 0.8810 0.6969
O 0.3506 0.6180 0.8528
O 0.3820 0.6494 0.3214
O 0.4196 0.1469 0.6587
O 0.4248 0.3031 0.1190
O 0.5752 0.6969 0.8810
O 0.5804 0.8531 0.3413
O 0.6180 0.3506 0.6786
O 0.6494 0.3820 0.1472
O 0.6531 0.1190 0.3031
O 0.6587 0.2748 0.4196
O 0.6786 0.8528 0.6180
O 0.6810 0.9572 0.9308
O 0.6969 0.5752 0.3469
O 0.7252 0.3413 0.8531
O 0.8531 0.5804 0.7252
O 0.8528 0.6786 0.3506
O 0.8810 0.3469 0.5752
O 0.9308 0.9310 0.6810
O 0.9310 0.9308 0.9572
O 0.9572 0.6810 0.9310